1.
Starting from a crystal structure in Alexandria, relaxed with PBE, the powder diffraction line list of Rb5MnI8 was simulated for Cu Kα X-rays.
No peak broadening, texture or thermal motion is included.

Structural model:
```
data_Rb5MnI8
_cell_length_a 10.8850
_cell_length_b 10.8850
_cell_length_c 12.1483
_cell_angle_alpha 90.00
_cell_angle_beta 90.00
_cell_angle_gamma 90.00
_space_group_name_H-M_alt 'I -4'
_space_group_IT_number 82
loop_
_space_group_symop_operation_xyz
'x,y,z'
'y,-x,-z'
'-x,-y,z'
'-y,x,-z'
'x+1/2,y+1/2,z+1/2'
'y+1/2,-x+1/2,-z+1/2'
'-x+1/2,-y+1/2,z+1/2'
'-y+1/2,x+1/2,-z+1/2'
loop_
_atom_site_label
_atom_site_type_symbol
_atom_site_fract_x
_atom_site_fract_y
_atom_site_fract_z
_atom_site_occupancy
Rb1 Rb 0.0000 0.0000 0.0000 1
Rb2 Rb 0.1373 0.7145 0.6113 1
Mn1 Mn 0.0000 0.5000 0.2500 1
I1 I 0.0339 0.7326 0.2992 1
I2 I 0.1084 0.6970 0.9135 1
```

Most intense lines, 5° ≤ 2θ ≤ 70°, sorted by position:
2θ (°), d (Å), I/Imax, (hkl)
21.93, 4.053, 33, 2 0 2
23.44, 3.795, 98, 1 0 3
25.62, 3.477, 44, 3 0 1
25.88, 3.442, 100, 3 1 0
28.68, 3.113, 57, 2 1 3
30.51, 2.930, 31, 2 3 1
36.93, 2.434, 32, 2 4 0
37.15, 2.420, 32, 2 3 3
40.80, 2.212, 29, 1 4 3
47.91, 1.899, 26, 2 0 6



2.
Starting from a crystal structure in Alexandria, relaxed with PBE, the powder diffraction line list of Rb2Mn2I5 was simulated for Cu Kα X-rays.
No peak broadening, texture or thermal motion is included.

Structural model:
```
data_Rb2Mn2I5
_cell_length_a 15.2386
_cell_length_b 6.0104
_cell_length_c 8.6786
_cell_angle_alpha 90.00
_cell_angle_beta 107.12
_cell_angle_gamma 90.00
_space_group_name_H-M_alt 'C 1 2/m 1'
_space_group_IT_number 12
loop_
_space_group_symop_operation_xyz
'x,y,z'
'-x,-y,-z'
'-x,y,-z'
'x,-y,z'
'x+1/2,y+1/2,z'
'-x+1/2,-y+1/2,-z'
'-x+1/2,y+1/2,-z'
'x+1/2,-y+1/2,z'
loop_
_atom_site_label
_atom_site_type_symbol
_atom_site_fract_x
_atom_site_fract_y
_atom_site_fract_z
_atom_site_occupancy
Rb1 Rb 0.0989 0.0000 0.3007 1
Mn1 Mn 0.1593 0.5000 0.8886 1
I1 I 0.0000 0.5000 0.0000 1
I2 I 0.1469 0.5000 0.5698 1
I3 I 0.1650 0.0000 0.9069 1
```

Most intense lines, 5° ≤ 2θ ≤ 70°, sorted by position:
2θ (°), d (Å), I/Imax, (hkl)
23.60, 3.771, 63, 4 0 -1
24.45, 3.641, 27, 4 0 0
25.32, 3.518, 100, 1 1 -2
28.11, 3.174, 91, 3 1 1
29.73, 3.005, 73, 0 2 0
37.02, 2.428, 23, 6 0 0
38.07, 2.364, 33, 2 0 3
38.32, 2.349, 24, 4 2 -1
48.18, 1.889, 22, 6 2 0
49.03, 1.858, 32, 2 2 3



3.
Starting from a crystal structure in Alexandria, relaxed with PBE, the powder diffraction line list of RbMn2I was simulated for Cu Kα X-rays.
No peak broadening, texture or thermal motion is included.

Structural model:
```
data_RbMn2I
_cell_length_a 5.1697
_cell_length_b 5.1697
_cell_length_c 21.3572
_cell_angle_alpha 90.00
_cell_angle_beta 90.00
_cell_angle_gamma 90.00
_space_group_name_H-M_alt 'I 41/a m d'
_space_group_IT_number 141
loop_
_space_group_symop_operation_xyz
'x,y,z'
'-x,-y,-z'
'-y+1/4,x+3/4,z+1/4'
'y+1/4,-x+3/4,-z+1/4'
'-x+1/2,-y,z+1/2'
'x+1/2,y,-z+1/2'
'y+1/4,-x+1/4,z+3/4'
'-y+1/4,x+1/4,-z+3/4'
'x,-y,-z'
'-x,y,z'
'-y+1/4,-x+1/4,-z+3/4'
'y+1/4,x+1/4,z+3/4'
'-x+1/2,y,-z+1/2'
'x+1/2,-y,z+1/2'
'y+1/4,x+3/4,-z+1/4'
'-y+1/4,-x+3/4,z+1/4'
'x+1/2,y+1/2,z+1/2'
'-x+1/2,-y+1/2,-z+1/2'
'-y+3/4,x+1/4,z+3/4'
'y+3/4,-x+1/4,-z+3/4'
'-x,-y+1/2,z'
'x,y+1/2,-z'
'y+3/4,-x+3/4,z+1/4'
'-y+3/4,x+3/4,-z+1/4'
'x+1/2,-y+1/2,-z+1/2'
'-x+1/2,y+1/2,z+1/2'
'-y+3/4,-x+3/4,-z+1/4'
'y+3/4,x+3/4,z+1/4'
'-x,y+1/2,-z'
'x,-y+1/2,z'
'y+3/4,x+1/4,-z+3/4'
'-y+3/4,-x+1/4,z+3/4'
loop_
_atom_site_label
_atom_site_type_symbol
_atom_site_fract_x
_atom_site_fract_y
_atom_site_fract_z
_atom_site_occupancy
Rb1 Rb 0.0000 0.2500 0.3750 1
Mn1 Mn 0.0000 0.0000 0.0000 1
I1 I 0.0000 0.2500 0.8750 1
```

Most intense lines, 5° ≤ 2θ ≤ 70°, sorted by position:
2θ (°), d (Å), I/Imax, (hkl)
17.65, 5.025, 40, 1 0 1
25.76, 3.458, 100, 1 1 2
33.57, 2.670, 29, 0 0 8
34.70, 2.585, 23, 2 0 0
35.19, 2.550, 44, 1 1 6
38.70, 2.327, 33, 2 0 4
49.43, 1.844, 17, 1 1 10
52.95, 1.729, 30, 2 2 4
56.99, 1.616, 21, 3 1 2
62.51, 1.486, 18, 3 1 6



4.
Starting from a crystal structure in Alexandria, relaxed with PBE, the powder diffraction line list of Rb3MnI5 was simulated for Cu Kα X-rays.
No peak broadening, texture or thermal motion is included.

Structural model:
```
data_Rb3MnI5
_cell_length_a 10.1161
_cell_length_b 10.1238
_cell_length_c 16.3336
_cell_angle_alpha 90.00
_cell_angle_beta 90.00
_cell_angle_gamma 90.00
_space_group_name_H-M_alt 'I b a m'
_space_group_IT_number 72
_space_group_name_Hall '-I 2 2c'
loop_
_atom_site_label
_atom_site_type_symbol
_atom_site_fract_x
_atom_site_fract_y
_atom_site_fract_z
_atom_site_occupancy
Rb1 Rb 0.0000 0.0000 0.2500 1
Rb2 Rb 0.1573 0.3420 0.0000 1
Mn1 Mn 0.0000 0.5000 0.2500 1
I1 I 0.0000 0.0000 0.0000 1
I2 I 0.1486 0.3523 0.3502 1
```

Most intense lines, 5° ≤ 2θ ≤ 70°, sorted by position:
2θ (°), d (Å), I/Imax, (hkl)
24.89, 3.578, 12, 2 2 0
25.11, 3.547, 13, 1 1 4
25.60, 3.480, 100, 1 2 3
27.88, 3.200, 45, 3 1 0
28.08, 3.178, 16, 2 0 4
39.84, 2.263, 12, 2 4 0
40.31, 2.238, 12, 4 1 3
42.01, 2.151, 13, 0 4 4
43.65, 2.074, 21, 3 1 6
51.44, 1.776, 21, 5 2 3



5.
Starting from a crystal structure in Alexandria, relaxed with PBE, the powder diffraction line list of RbMn2SbI8 was simulated for Cu Kα X-rays.
No peak broadening, texture or thermal motion is included.

Structural model:
```
data_RbMn2SbI8
_cell_length_a 7.3676
_cell_length_b 7.3676
_cell_length_c 35.0164
_cell_angle_alpha 90.00
_cell_angle_beta 90.00
_cell_angle_gamma 120.00
_space_group_name_H-M_alt 'R 3 2'
_space_group_IT_number 155
_space_group_name_Hall 'R 3 2"'
loop_
_atom_site_label
_atom_site_type_symbol
_atom_site_fract_x
_atom_site_fract_y
_atom_site_fract_z
_atom_site_occupancy
Rb1 Rb 0.0000 0.0000 0.0000 1
Mn1 Mn 0.0000 0.0000 0.2465 1
Sb1 Sb 0.0000 0.0000 0.5000 1
I1 I 0.0000 0.0000 0.3214 1
I2 I 0.0052 0.3555 0.2245 1
```

Most intense lines, 5° ≤ 2θ ≤ 70°, sorted by position:
2θ (°), d (Å), I/Imax, (hkl)
17.20, 5.156, 23, 1 0 4
18.81, 4.717, 20, 0 1 5
22.86, 3.891, 61, 0 0 9
24.16, 3.684, 83, 1 1 0
25.35, 3.513, 74, 1 1 3
28.66, 3.115, 100, 1 1 6
33.50, 2.675, 69, 1 1 9
39.39, 2.287, 41, 1 1 12
42.50, 2.127, 67, 3 0 0
48.80, 1.866, 43, 3 0 9



6.
Starting from a crystal structure in Alexandria, relaxed with PBE, the powder diffraction line list of MnReI3 was simulated for Cu Kα X-rays.
No peak broadening, texture or thermal motion is included.

Structural model:
```
data_MnReI3
_cell_length_a 5.6785
_cell_length_b 5.6785
_cell_length_c 5.6785
_cell_angle_alpha 90.00
_cell_angle_beta 90.00
_cell_angle_gamma 90.00
_space_group_name_H-M_alt 'P m -3 m'
_space_group_IT_number 221
_space_group_name_Hall '-P 4 2 3'
loop_
_atom_site_label
_atom_site_type_symbol
_atom_site_fract_x
_atom_site_fract_y
_atom_site_fract_z
_atom_site_occupancy
Mn1 Mn 0.0000 0.0000 0.0000 1
Re1 Re 0.5000 0.5000 0.5000 1
I1 I 0.0000 0.0000 0.5000 1
```

Most intense lines, 5° ≤ 2θ ≤ 70°, sorted by position:
2θ (°), d (Å), I/Imax, (hkl)
22.14, 4.015, 13, 1 1 0
27.20, 3.278, 100, 1 1 1
31.51, 2.839, 77, 2 0 0
38.85, 2.318, 6, 2 1 1
45.16, 2.008, 56, 2 2 0
50.85, 1.796, 3, 3 1 0
53.52, 1.712, 46, 3 1 1
56.11, 1.639, 20, 2 2 2
61.06, 1.518, 3, 3 2 1
65.78, 1.420, 9, 4 0 0



7.
Starting from a crystal structure in Alexandria, relaxed with PBE, the powder diffraction line list of MnSbSe2I was simulated for Cu Kα X-rays.
No peak broadening, texture or thermal motion is included.

Structural model:
```
data_MnSbSe2I
_cell_length_a 13.4790
_cell_length_b 4.0606
_cell_length_c 10.2388
_cell_angle_alpha 90.00
_cell_angle_beta 91.81
_cell_angle_gamma 90.00
_space_group_name_H-M_alt 'C 1 2/m 1'
_space_group_IT_number 12
loop_
_space_group_symop_operation_xyz
'x,y,z'
'-x,-y,-z'
'-x,y,-z'
'x,-y,z'
'x+1/2,y+1/2,z'
'-x+1/2,-y+1/2,-z'
'-x+1/2,y+1/2,-z'
'x+1/2,-y+1/2,z'
loop_
_atom_site_label
_atom_site_type_symbol
_atom_site_fract_x
_atom_site_fract_y
_atom_site_fract_z
_atom_site_occupancy
Mn1 Mn 0.0000 0.0000 0.0000 1
Mn2 Mn 0.0000 0.0000 0.5000 1
Sb1 Sb 0.2061 0.5000 0.3186 1
Se1 Se 0.0721 0.0000 0.2608 1
Se2 Se 0.1368 0.5000 0.5568 1
I1 I 0.1335 0.5000 0.9271 1
```

Most intense lines, 5° ≤ 2θ ≤ 70°, sorted by position:
2θ (°), d (Å), I/Imax, (hkl)
22.15, 4.014, 22, 2 0 2
28.97, 3.082, 87, 2 0 -3
29.67, 3.011, 100, 3 1 0
30.77, 2.906, 26, 3 1 -1
31.13, 2.873, 31, 3 1 1
34.86, 2.574, 19, 3 1 2
44.51, 2.035, 25, 5 1 2
44.63, 2.030, 27, 0 2 0
47.92, 1.898, 25, 5 1 -3
54.09, 1.696, 18, 2 2 -3



8.
Starting from a crystal structure in Alexandria, relaxed with PBE, the powder diffraction line list of ScMn2I6 was simulated for Cu Kα X-rays.
No peak broadening, texture or thermal motion is included.

Structural model:
```
data_ScMn2I6
_cell_length_a 14.4029
_cell_length_b 12.8817
_cell_length_c 7.5518
_cell_angle_alpha 90.00
_cell_angle_beta 100.27
_cell_angle_gamma 90.00
_space_group_name_H-M_alt 'C 1 2/c 1'
_space_group_IT_number 15
loop_
_space_group_symop_operation_xyz
'x,y,z'
'-x,-y,-z'
'-x,y,-z+1/2'
'x,-y,z+1/2'
'x+1/2,y+1/2,z'
'-x+1/2,-y+1/2,-z'
'-x+1/2,y+1/2,-z+1/2'
'x+1/2,-y+1/2,z+1/2'
loop_
_atom_site_label
_atom_site_type_symbol
_atom_site_fract_x
_atom_site_fract_y
_atom_site_fract_z
_atom_site_occupancy
Sc1 Sc 0.0000 0.0887 0.2500 1
Mn1 Mn 0.1869 0.4137 0.3167 1
I1 I 0.1157 0.0823 0.6213 1
I2 I 0.1242 0.2408 0.1304 1
I3 I 0.1250 0.4138 0.6320 1
```

Most intense lines, 5° ≤ 2θ ≤ 70°, sorted by position:
2θ (°), d (Å), I/Imax, (hkl)
25.00, 3.562, 51, 2 0 -2
25.13, 3.543, 50, 4 0 0
25.30, 3.520, 100, 1 3 1
29.06, 3.073, 33, 2 0 2
29.21, 3.057, 64, 3 3 -1
41.48, 2.177, 21, 6 0 -2
41.59, 2.172, 43, 1 3 -3
41.76, 2.163, 41, 5 3 1
49.28, 1.849, 38, 6 0 2
49.61, 1.837, 30, 4 6 0



9.
Starting from a crystal structure in Alexandria, relaxed with PBE, the powder diffraction line list of ScMn3I9 was simulated for Cu Kα X-rays.
No peak broadening, texture or thermal motion is included.

Structural model:
```
data_ScMn3I9
_cell_length_a 19.8754
_cell_length_b 10.3232
_cell_length_c 14.3935
_cell_angle_alpha 90.00
_cell_angle_beta 128.18
_cell_angle_gamma 90.00
_space_group_name_H-M_alt 'C 1 c 1'
_space_group_IT_number 9
loop_
_space_group_symop_operation_xyz
'x,y,z'
'x,-y,z+1/2'
'x+1/2,y+1/2,z'
'x+1/2,-y+1/2,z+1/2'
loop_
_atom_site_label
_atom_site_type_symbol
_atom_site_fract_x
_atom_site_fract_y
_atom_site_fract_z
_atom_site_occupancy
Sc1 Sc 0.0000 0.2235 0.0000 1
Mn1 Mn 0.1340 0.4301 0.8306 1
Mn2 Mn 0.2688 0.0577 0.7833 1
Mn3 Mn 0.3679 0.3805 0.6784 1
I1 I 0.0023 0.3105 0.8072 1
I2 I 0.0048 0.0881 0.1829 1
I3 I 0.1024 0.4464 0.1393 1
I4 I 0.1418 0.0474 0.0710 1
I5 I 0.1999 0.3718 0.4872 1
I6 I 0.2501 0.2372 0.9052 1
I7 I 0.3522 0.1330 0.4472 1
I8 I 0.3693 0.4550 0.3253 1
I9 I 0.3959 0.1470 0.7814 1
```

Most intense lines, 5° ≤ 2θ ≤ 70°, sorted by position:
2θ (°), d (Å), I/Imax, (hkl)
14.90, 5.946, 89, 1 1 1
24.06, 3.698, 100, 5 1 -2
24.47, 3.637, 92, 2 0 2
24.74, 3.599, 55, 5 1 -3
25.55, 3.487, 96, 2 2 -3
25.65, 3.473, 54, 4 2 -1
26.34, 3.384, 81, 3 1 -4
26.65, 3.345, 56, 1 3 -1
28.66, 3.114, 43, 4 2 0
45.62, 1.988, 38, 1 1 -6



10.
Starting from a crystal structure in Alexandria, relaxed with PBE, the powder diffraction line list of Mn3Se3I was simulated for Cu Kα X-rays.
No peak broadening, texture or thermal motion is included.

Structural model:
```
data_Mn3Se3I
_cell_length_a 10.8815
_cell_length_b 10.8815
_cell_length_c 10.8815
_cell_angle_alpha 90.00
_cell_angle_beta 90.00
_cell_angle_gamma 90.00
_space_group_name_H-M_alt 'I -4 3 m'
_space_group_IT_number 217
_space_group_name_Hall 'I -4 2 3'
loop_
_atom_site_label
_atom_site_type_symbol
_atom_site_fract_x
_atom_site_fract_y
_atom_site_fract_z
_atom_site_occupancy
Mn1 Mn 0.1160 0.3750 0.6250 1
Se1 Se 0.1197 0.3746 0.3746 1
I1 I 0.1251 0.1251 0.1251 1
```

Most intense lines, 5° ≤ 2θ ≤ 70°, sorted by position:
2θ (°), d (Å), I/Imax, (hkl)
19.99, 4.442, 13, 2 1 1
28.41, 3.141, 27, 2 2 2
30.74, 2.908, 9, 3 2 1
32.92, 2.720, 100, 4 0 0
45.67, 1.987, 3, 5 2 1
47.25, 1.924, 70, 4 4 0
51.79, 1.765, 3, 6 1 1
56.06, 1.640, 13, 6 2 2
58.79, 1.571, 23, 4 4 4
69.05, 1.360, 11, 8 0 0



11.
Starting from a crystal structure in Alexandria, relaxed with PBE, the powder diffraction line list of MnSe2I was simulated for Cu Kα X-rays.
No peak broadening, texture or thermal motion is included.

Structural model:
```
data_MnSe2I
_cell_length_a 4.8527
_cell_length_b 16.7859
_cell_length_c 6.5242
_cell_angle_alpha 90.00
_cell_angle_beta 104.01
_cell_angle_gamma 90.00
_space_group_name_H-M_alt 'C 1 2/c 1'
_space_group_IT_number 15
loop_
_space_group_symop_operation_xyz
'x,y,z'
'-x,-y,-z'
'-x,y,-z+1/2'
'x,-y,z+1/2'
'x+1/2,y+1/2,z'
'-x+1/2,-y+1/2,-z'
'-x+1/2,y+1/2,-z+1/2'
'x+1/2,-y+1/2,z+1/2'
loop_
_atom_site_label
_atom_site_type_symbol
_atom_site_fract_x
_atom_site_fract_y
_atom_site_fract_z
_atom_site_occupancy
Mn1 Mn 0.0000 0.2000 0.2500 1
Se1 Se 0.1784 0.1730 0.6570 1
I1 I 0.0000 0.3930 0.7500 1
```

Most intense lines, 5° ≤ 2θ ≤ 70°, sorted by position:
2θ (°), d (Å), I/Imax, (hkl)
10.54, 8.393, 100, 0 2 0
21.17, 4.196, 40, 0 4 0
25.47, 3.498, 34, 0 4 1
26.10, 3.415, 45, 1 3 -1
26.72, 3.336, 41, 1 1 1
28.19, 3.165, 50, 0 0 2
32.76, 2.733, 57, 1 5 0
38.96, 2.312, 54, 2 2 -1
45.56, 1.991, 45, 0 8 1
46.87, 1.938, 32, 1 5 2



12.
Starting from a crystal structure in Alexandria, relaxed with PBE, the powder diffraction line list of MnSe2I was simulated for Cu Kα X-rays.
No peak broadening, texture or thermal motion is included.

Structural model:
```
data_MnSe2I
_cell_length_a 6.1580
_cell_length_b 10.6637
_cell_length_c 6.4859
_cell_angle_alpha 90.00
_cell_angle_beta 95.13
_cell_angle_gamma 90.00
_space_group_name_H-M_alt 'C 1 2 1'
_space_group_IT_number 5
loop_
_space_group_symop_operation_xyz
'x,y,z'
'-x,y,-z'
'x+1/2,y+1/2,z'
'-x+1/2,y+1/2,-z'
loop_
_atom_site_label
_atom_site_type_symbol
_atom_site_fract_x
_atom_site_fract_y
_atom_site_fract_z
_atom_site_occupancy
Mn1 Mn 0.0000 0.0000 0.0000 1
Mn2 Mn 0.0000 0.2589 0.0000 1
Se1 Se 0.1356 0.4653 0.1457 1
Se2 Se 0.1429 0.1289 0.2649 1
I1 I 0.1533 0.8071 0.2585 1
```

Most intense lines, 5° ≤ 2θ ≤ 70°, sorted by position:
2θ (°), d (Å), I/Imax, (hkl)
13.71, 6.460, 64, 0 0 1
22.47, 3.957, 36, 1 1 1
27.62, 3.230, 39, 0 0 2
29.04, 3.075, 42, 1 3 0
31.15, 2.872, 100, 2 0 -1
31.66, 2.826, 73, 1 3 -1
32.81, 2.730, 95, 1 3 1
33.45, 2.679, 35, 2 0 1
41.44, 2.179, 41, 1 3 2
51.57, 1.772, 44, 3 3 0



13.
Starting from a crystal structure in Alexandria, relaxed with PBE, the powder diffraction line list of Th2MnSe2I4 was simulated for Cu Kα X-rays.
No peak broadening, texture or thermal motion is included.

Structural model:
```
data_Th2MnSe2I4
_cell_length_a 3.8851
_cell_length_b 3.8851
_cell_length_c 23.8270
_cell_angle_alpha 90.00
_cell_angle_beta 90.00
_cell_angle_gamma 120.00
_space_group_name_H-M_alt 'P 3 m 1'
_space_group_IT_number 156
loop_
_space_group_symop_operation_xyz
'x,y,z'
'-y,x-y,z'
'-x+y,-x,z'
'-y,-x,z'
'-x+y,y,z'
'x,x-y,z'
loop_
_atom_site_label
_atom_site_type_symbol
_atom_site_fract_x
_atom_site_fract_y
_atom_site_fract_z
_atom_site_occupancy
Th1 Th 0.0000 0.0000 0.0000 1
Th2 Th 0.3333 0.6667 0.3724 1
Mn1 Mn 0.3333 0.6667 0.6975 1
Se1 Se 0.0000 0.0000 0.6391 1
Se2 Se 0.0000 0.0000 0.7560 1
I1 I 0.0000 0.0000 0.2754 1
I2 I 0.0000 0.0000 0.4689 1
I3 I 0.3333 0.6667 0.0970 1
I4 I 0.3333 0.6667 0.9036 1
```

Most intense lines, 5° ≤ 2θ ≤ 70°, sorted by position:
2θ (°), d (Å), I/Imax, (hkl)
7.42, 11.914, 50, 0 0 2
11.14, 7.942, 61, 0 0 3
26.49, 3.365, 50, 1 0 0
28.82, 3.098, 18, 0 1 3
30.51, 2.930, 100, 1 0 4
32.58, 2.749, 25, 0 1 5
34.95, 2.567, 47, 1 0 6
37.59, 2.393, 28, 0 1 7
46.76, 1.943, 48, 1 1 0
64.43, 1.446, 19, 1 1 11